Entry 1:
This entry pairs a crystal structure of La3Co2S7 with its theoretical X-ray powder pattern. Radiation: a wavelength of 1.5418 Å. Structure: a cell relaxed with PBE.
No peak broadening, texture or thermal motion is included.

```
24
Lattice="10.0613 0.0000 0.0000 -5.0306 8.7133 0.0000 0.0000 0.0000 5.9848" Properties=species:S:1:pos:R:3 pbc="T T T"
La -0.4279 3.3486 0.0000
La -1.9167 7.4096 0.0000
La 2.6860 2.0449 2.9924
La 2.3446 6.6684 0.0000
La 6.9473 1.3037 2.9924
La 5.4586 5.3647 2.9924
Co 0.0000 0.0000 1.7982
Co 0.0000 0.0000 4.7906
Co 0.0000 5.8089 2.4324
Co 5.0307 2.9044 5.4248
S -0.2221 1.7752 3.3220
S -1.9573 5.0403 1.6663
S -3.3822 8.0180 3.3220
S 1.4263 1.0799 0.3296
S 0.0000 5.8089 4.6248
S 1.6443 4.4981 1.6663
S 0.3130 7.8883 1.6663
S 4.7176 0.8250 4.6587
S 3.3864 4.2153 4.6587
S 5.0307 2.9044 1.6324
S 3.6043 7.6334 3.3220
S 8.4129 0.6953 0.3296
S 6.9880 3.6730 4.6587
S 5.2527 6.9381 0.3296
```

Peak list (12 most intense, 10° ≤ 2θ ≤ 90°, in order of rising 2θ)
17.98 deg, I = 30; 23.10 deg, I = 24; 25.29 deg, I = 100; 27.08 deg, I = 35; 29.86 deg, I = 15; 34.32 deg, I = 45; 34.89 deg, I = 17; 35.70 deg, I = 29; 36.43 deg, I = 34; 40.25 deg, I = 30; 40.74 deg, I = 30; 50.33 deg, I = 36

=====

Entry 2:
This entry pairs a crystal structure of AcCd2O4 with its theoretical X-ray powder pattern. Radiation: a wavelength of 1.5418 Å. Structure: a cell relaxed with PBE.
No peak broadening, texture or thermal motion is included.

```
14
Lattice="0.0000 4.8645 4.8645 4.8645 0.0000 4.8645 4.8645 4.8645 0.0000" Properties=species:S:1:pos:R:3 pbc="T T T"
Ac 1.2161 1.2161 1.2161
Ac 8.5128 8.5128 8.5128
Cd 4.8645 2.4322 2.4322
Cd 2.4322 4.8645 2.4322
Cd 2.4322 2.4322 4.8645
Cd 4.8645 4.8645 4.8645
O 2.5563 2.5563 2.5563
O 4.7404 4.7404 2.5563
O 4.7404 2.5563 4.7404
O 7.1727 4.9885 4.9885
O 2.5563 4.7404 4.7404
O 4.9885 7.1727 4.9885
O 4.9885 4.9885 7.1727
O 7.1727 7.1727 7.1727
```

Peak list (12 most intense, 10° ≤ 2θ ≤ 90°, in order of rising 2θ)
25.90 deg, I = 51; 30.47 deg, I = 100; 31.86 deg, I = 11; 45.68 deg, I = 22; 48.63 deg, I = 39; 53.26 deg, I = 36; 60.15 deg, I = 10; 62.61 deg, I = 13; 72.74 deg, I = 12; 74.98 deg, I = 22; 84.50 deg, I = 6; 86.67 deg, I = 13

=====

Entry 3:
This entry pairs a crystal structure of Tb2MgCd with its theoretical X-ray powder pattern. Radiation: a wavelength of 1.5418 Å. Structure: a cell relaxed with PBE.
No peak broadening, texture or thermal motion is included.

```
16
Lattice="5.3491 0.0000 0.0000 0.0000 11.9541 0.0000 0.0000 0.0000 6.6354" Properties=species:S:1:pos:R:3 pbc="T T T"
Tb 1.3373 0.9208 0.0000
Tb 1.3373 3.9072 5.1707
Tb 1.3373 6.8978 3.3177
Tb 1.3373 9.8843 1.8530
Tb 4.0118 2.0698 1.8530
Tb 4.0118 5.0563 3.3177
Tb 4.0118 8.0469 5.1707
Tb 4.0118 11.0334 0.0000
Mg 1.3373 0.9326 3.4078
Mg 1.3373 6.9097 0.0901
Mg 4.0118 5.0444 0.0901
Mg 4.0118 11.0215 3.4078
Cd 1.3373 3.9296 1.7646
Cd 1.3373 9.9067 5.0823
Cd 4.0118 2.0474 5.0823
Cd 4.0118 8.0245 1.7646
```

Peak list (12 most intense, 10° ≤ 2θ ≤ 90°, in order of rising 2θ)
15.27 deg, I = 32; 22.61 deg, I = 16; 30.82 deg, I = 33; 31.06 deg, I = 17; 33.51 deg, I = 43; 34.37 deg, I = 69; 35.19 deg, I = 100; 46.17 deg, I = 21; 53.66 deg, I = 22; 61.00 deg, I = 20; 64.76 deg, I = 29; 66.83 deg, I = 18

=====

Entry 4:
This entry pairs a crystal structure of GaCo2Te4 with its theoretical X-ray powder pattern. Radiation: a wavelength of 1.5418 Å. Structure: a cell relaxed with PBE.
No peak broadening, texture or thermal motion is included.

```
28
Lattice="7.7572 0.0000 0.0000 0.0000 7.7572 0.0000 0.0000 0.0000 10.8785" Properties=species:S:1:pos:R:3 pbc="T T T"
Ga 0.0000 1.9366 0.0000
Ga 0.0000 5.8206 5.4392
Ga 1.9366 0.0000 8.1589
Ga 5.8206 0.0000 2.7196
Co 1.9652 3.8786 8.1589
Co 1.9915 1.9915 4.0794
Co 1.9915 5.7657 1.3598
Co 3.8786 1.9652 0.0000
Co 3.8786 5.7920 5.4392
Co 5.7657 1.9915 6.7991
Co 5.7657 5.7657 9.5187
Co 5.7920 3.8786 2.7196
Te 0.1018 2.1000 8.0729
Te 0.1018 5.6572 8.2448
Te 2.0972 3.8224 10.7422
Te 2.0972 3.9348 5.5756
Te 2.1000 0.1018 0.0859
Te 2.1000 7.6554 5.3533
Te 3.8224 2.0972 8.2952
Te 3.8224 5.6600 8.0225
Te 3.9348 2.0972 2.5833
Te 3.9348 5.6600 2.8559
Te 5.6572 0.1018 10.7926
Te 5.6572 7.6554 5.5252
Te 5.6600 3.8224 0.1363
Te 5.6600 3.9348 5.3029
Te 7.6554 2.1000 2.8055
Te 7.6554 5.6572 2.6337
```

Peak list (12 most intense, 10° ≤ 2θ ≤ 90°, in order of rising 2θ)
26.98 deg, I = 19; 27.15 deg, I = 13; 28.26 deg, I = 100; 32.65 deg, I = 87; 32.93 deg, I = 43; 42.85 deg, I = 14; 46.85 deg, I = 44; 47.06 deg, I = 88; 55.61 deg, I = 24; 55.99 deg, I = 12; 58.45 deg, I = 28; 87.18 deg, I = 22

=====

Entry 5:
This entry pairs a crystal structure of Sc2Zn2Cu with its theoretical X-ray powder pattern. Radiation: a wavelength of 1.5418 Å. Structure: a cell relaxed with PBE.
No peak broadening, texture or thermal motion is included.

```
10
Lattice="4.0564 0.0000 0.0000 0.0000 4.0564 0.0000 0.0000 0.0000 12.0530" Properties=species:S:1:pos:R:3 pbc="T T T"
Sc 0.0000 2.0282 3.0132
Sc 0.0000 2.0282 9.0397
Sc 2.0282 0.0000 3.0132
Sc 2.0282 0.0000 9.0397
Zn 0.0000 0.0000 1.1441
Zn 0.0000 0.0000 10.9088
Zn 2.0282 2.0282 4.8824
Zn 2.0282 2.0282 7.1706
Cu 0.0000 0.0000 6.0265
Cu 2.0282 2.0282 0.0000
```

Peak list (12 most intense, 10° ≤ 2θ ≤ 90°, in order of rising 2θ)
23.14 deg, I = 15; 31.18 deg, I = 22; 31.34 deg, I = 30; 34.63 deg, I = 100; 43.56 deg, I = 17; 43.68 deg, I = 51; 44.68 deg, I = 48; 64.26 deg, I = 30; 65.03 deg, I = 14; 75.83 deg, I = 17; 81.61 deg, I = 12; 87.86 deg, I = 11

=====

Entry 6:
This entry pairs a crystal structure of Ba4Fe3Se10 with its theoretical X-ray powder pattern. Radiation: a wavelength of 1.5418 Å. Structure: a cell relaxed with PBE.
No peak broadening, texture or thermal motion is included.

```
34
Lattice="8.8711 0.0000 0.0000 0.0000 8.8092 0.0000 -4.9289 0.0000 11.8128" Properties=species:S:1:pos:R:3 pbc="T T T"
Ba -1.4349 1.3380 4.0514
Ba -3.8993 3.0666 9.9578
Ba 3.1085 1.0881 1.9738
Ba 0.6441 3.3165 7.8803
Ba 3.2981 5.4927 3.9326
Ba 0.8337 7.7211 9.8390
Ba 7.8415 5.7426 1.8550
Ba 5.3771 7.4712 7.7614
Fe -2.3243 6.2428 11.4942
Fe 0.1402 6.9711 5.5878
Fe 1.9711 0.0000 5.9064
Fe 4.4355 4.4046 0.0000
Fe 3.8020 1.8382 6.2250
Fe 6.2665 2.5665 0.3186
Se -0.2630 1.9855 1.0207
Se -2.7275 2.4191 6.9271
Se -0.4275 4.6151 4.9199
Se -2.8920 8.5988 10.8263
Se -0.4789 0.1014 6.9673
Se 1.9855 4.3033 1.0608
Se -1.4375 5.3296 9.4525
Se 1.0270 7.8843 3.5461
Se -0.6171 1.9633 10.7751
Se 1.8473 2.4413 4.8687
Se 2.0949 6.3680 6.9441
Se 4.5593 6.8459 1.0377
Se 2.9152 0.9250 8.2668
Se 5.3797 3.4796 2.3603
Se 1.9567 4.5060 10.7520
Se 4.4211 8.7079 4.8456
Se 6.8342 0.2105 0.9865
Se 4.3697 4.1941 6.8929
Se 6.6697 6.3901 4.8858
Se 4.2052 6.8237 10.7922
```

Peak list (12 most intense, 10° ≤ 2θ ≤ 90°, in order of rising 2θ)
21.53 deg, I = 21; 28.57 deg, I = 70; 29.73 deg, I = 100; 30.47 deg, I = 60; 33.53 deg, I = 27; 33.98 deg, I = 26; 34.27 deg, I = 33; 34.40 deg, I = 33; 36.65 deg, I = 21; 37.24 deg, I = 29; 49.04 deg, I = 20; 50.83 deg, I = 22

=====

Entry 7:
This entry pairs a crystal structure of RbReO3 with its theoretical X-ray powder pattern. Radiation: a wavelength of 1.5418 Å. Structure: a cell relaxed with PBE.
No peak broadening, texture or thermal motion is included.

```
10
Lattice="2.7475 1.5862 6.1548 -2.7475 1.5862 6.1548 0.0000 -3.1725 6.1548" Properties=species:S:1:pos:R:3 pbc="T T T"
Rb 0.0000 0.0000 2.5102
Rb 0.0000 0.0000 15.9543
Re 0.0000 0.0000 6.1797
Re 0.0000 0.0000 12.2848
O -1.6032 -0.4200 7.2726
O -0.4379 -1.5984 11.1918
O 1.1653 -1.1784 7.2726
O -1.1653 1.1784 11.1918
O 0.4379 1.5984 7.2726
O 1.6032 0.4200 11.1918
```

Peak list (12 most intense, 10° ≤ 2θ ≤ 90°, in order of rising 2θ)
14.39 deg, I = 67; 21.00 deg, I = 60; 26.91 deg, I = 86; 29.02 deg, I = 24; 30.64 deg, I = 26; 32.59 deg, I = 100; 35.79 deg, I = 28; 42.75 deg, I = 24; 44.19 deg, I = 80; 54.77 deg, I = 24; 55.93 deg, I = 32; 58.16 deg, I = 24

=====

Entry 8:
This entry pairs a crystal structure of TePd with its theoretical X-ray powder pattern. Radiation: a wavelength of 1.5418 Å. Structure: a cell relaxed with PBE.
No peak broadening, texture or thermal motion is included.

```
8
Lattice="5.7909 0.0000 0.0000 0.0000 4.0864 0.0000 0.0000 0.0000 7.3335" Properties=species:S:1:pos:R:3 pbc="T T T"
Te 1.4445 1.0216 0.5965
Te 1.4509 3.0648 4.2632
Te 4.3399 1.0216 3.0703
Te 4.3464 3.0648 6.7371
Pd 0.0046 1.0216 5.4968
Pd 2.8909 3.0648 1.8300
Pd 2.9000 1.0216 5.5035
Pd 5.7863 3.0648 1.8367
```

Peak list (12 most intense, 10° ≤ 2θ ≤ 90°, in order of rising 2θ)
28.82 deg, I = 48; 29.39 deg, I = 95; 39.66 deg, I = 54; 40.10 deg, I = 100; 43.12 deg, I = 77; 44.33 deg, I = 35; 53.71 deg, I = 25; 54.01 deg, I = 17; 59.70 deg, I = 15; 60.98 deg, I = 30; 76.44 deg, I = 16; 80.63 deg, I = 24

=====

Question: Which formula does entry 2 have?
Answer: AcCd2O4